This entry pairs a crystal structure of CsCu6Se4 with its simulated powder diffraction line list. Radiation: copper Kα. Structure: a crystal structure in Alexandria, relaxed with GGA-PBE.
Kinematic intensities with the Lorentz-polarization factor, no thermal factor.

Largest 8 diffraction maxima, by intensity, 2θ = 5–70°:
3.242 Å, 27.52°, rel. 100, hkl 1 0 5; 1.948 Å, 46.63°, rel. 58, hkl 1 1 10; 2.066 Å, 43.81°, rel. 55, hkl 2 0 0; 2.178 Å, 41.46°, rel. 36, hkl 1 1 8; 1.743 Å, 52.52°, rel. 32, hkl 2 1 5; 13.065 Å, 6.77°, rel. 26, hkl 0 0 2; 2.852 Å, 31.37°, rel. 24, hkl 1 1 2; 1.461 Å, 63.69°, rel. 17, hkl 2 2 0

Atomic structure:
```
data_CsCu6Se4
_symmetry_space_group_name_H-M 'I 4/m m m'
_symmetry_Int_Tables_number 139
_symmetry_space_group_name_Hall '-I 4 2'
_cell_length_a 4.133
_cell_length_b 4.133
_cell_length_c 26.130
_cell_angle_alpha 90.00
_cell_angle_beta 90.00
_cell_angle_gamma 90.00
loop_
_atom_site_label
_atom_site_type_symbol
_atom_site_fract_x
_atom_site_fract_y
_atom_site_fract_z
Cs1 Cs 0.000 0.000 0.000
Cu1 Cu 0.000 0.500 0.135
Cu2 Cu 0.000 0.500 0.250
Se1 Se 0.000 0.000 0.196
Se2 Se 0.000 0.000 0.413
```